Diffraction record for RbRe2AuO8. The powder X-ray diffraction pattern is calculated, not measured: it uses DFT lattice parameters and positions (PBE) and Cu Kα X-rays.

Most intense lines, 2θ from 15° to 90°, sorted by position:
2theta, I (rel.)
22.78, 100
32.44, 74
40.01, 28
46.53, 13
52.42, 41
57.84, 24
57.95, 8
72.64, 16
77.30, 13
81.81, 9

```
12
Lattice="2.7621 1.5947 9.0003 -2.7621 1.5947 9.0003 0.0000 -3.1894 9.0003" Properties=species:S:1:pos:R:3 pbc="T T T"
Rb 0.0000 0.0000 0.0000
Re 0.0000 0.0000 6.6449
Re 0.0000 0.0000 20.3560
Au 0.0000 0.0000 13.5005
O -1.0926 -1.5246 11.9105
O -0.7740 -1.7085 15.0904
O 0.0000 0.0000 8.4063
O -0.7740 1.7085 11.9105
O -1.0926 1.5246 15.0904
O 0.0000 0.0000 18.5947
O 1.8666 -0.1839 11.9105
O 1.8666 0.1839 15.0905
```

Diffraction record for CuSi2W. The powder X-ray diffraction pattern is calculated, not measured: it uses DFT lattice parameters and positions (PBE) and Cu Kα X-rays.

Most intense lines, 2θ from 15° to 90°, sorted by position:
2theta, I (rel.)
17.60, 61
26.90, 29
32.33, 90
38.41, 88
42.54, 28
45.21, 100
53.40, 16
55.45, 30
65.66, 24
74.24, 45

```
4
Lattice="3.3144 0.0000 0.0000 0.0000 3.3144 0.0000 0.0000 0.0000 5.0384" Properties=species:S:1:pos:R:3 pbc="T T T"
Cu 0.0000 0.0000 0.0000
Si 0.0000 0.0000 2.4326
Si 1.6572 1.6572 0.9737
W 1.6572 1.6572 3.4855
```

Diffraction record for CuTcRh2. The powder X-ray diffraction pattern is calculated, not measured: it uses DFT lattice parameters and positions (PBE) and Cu Kα X-rays.

Most intense lines, 2θ from 15° to 90°, sorted by position:
2theta, I (rel.)
40.90, 100
41.27, 97
47.38, 32
47.49, 32
48.54, 30
70.21, 38
83.44, 12
83.60, 12
84.16, 12
84.32, 12

```
4
Lattice="2.7280 0.0000 0.0000 0.0000 3.7509 0.0000 -0.0115 0.0000 5.3866" Properties=species:S:1:pos:R:3 pbc="T T T"
Cu 0.0000 0.0000 0.0000
Tc -0.0057 0.0000 2.6933
Rh 1.3617 1.8755 1.3425
Rh 1.3549 1.8755 4.0441
```

Diffraction record for YB4C2. The powder X-ray diffraction pattern is calculated, not measured: it uses DFT lattice parameters and positions (PBE) and Cu Kα X-rays.

Most intense lines, 2θ from 15° to 90°, sorted by position:
2theta, I (rel.)
20.64, 57
25.42, 94
29.36, 50
39.21, 100
41.98, 21
42.17, 19
47.22, 21
49.72, 20
52.21, 16
67.05, 20

```
14
Lattice="6.0871 0.0000 0.0000 0.0000 6.0871 0.0000 0.0000 0.0000 4.2856" Properties=species:S:1:pos:R:3 pbc="T T T"
Y 0.0000 0.0000 0.0000
Y 3.0436 3.0436 2.1428
B 0.3520 2.3372 2.1428
B 0.7064 3.3955 0.0000
B 2.3372 0.3520 2.1428
B 2.6916 5.3807 0.0000
B 3.3955 0.7064 0.0000
B 3.7500 5.7351 2.1428
B 5.3807 2.6916 0.0000
B 5.7351 3.7500 2.1428
C 1.1603 1.1603 2.1428
C 1.8833 4.2038 0.0000
C 4.2038 1.8833 0.0000
C 4.9268 4.9268 2.1428
```

Diffraction record for Na3PtCl8. The powder X-ray diffraction pattern is calculated, not measured: it uses DFT lattice parameters and positions (PBE) and Cu Kα X-rays.

Most intense lines, 2θ from 15° to 90°, sorted by position:
2theta, I (rel.)
15.38, 31
18.22, 100
18.71, 63
26.00, 60
31.05, 47
33.36, 82
44.42, 22
45.15, 19
46.22, 52
46.84, 23

```
12
Lattice="3.5052 -5.7602 0.0000 3.5052 5.7602 0.0000 0.0000 0.0000 8.3576" Properties=species:S:1:pos:R:3 pbc="T T T"
Na 0.0000 0.0000 0.0000
Na 1.7526 2.8801 6.2688
Na 1.7526 -2.8801 2.0887
Pt 0.0000 0.0000 4.1788
Cl 3.5052 3.4242 4.1788
Cl 1.6494 0.0232 5.8596
Cl 1.6494 -0.0232 2.4980
Cl 3.5052 2.9880 0.0000
Cl 3.5052 -2.9880 0.0000
Cl 5.3610 0.0232 2.4980
Cl 5.3610 -0.0232 5.8596
Cl 3.5052 -3.4242 4.1788
```

Diffraction record for Ba2TbNpSe6. The powder X-ray diffraction pattern is calculated, not measured: it uses DFT lattice parameters and positions (PBE) and Cu Kα X-rays.

Most intense lines, 2θ from 15° to 90°, sorted by position:
2theta, I (rel.)
16.40, 46
22.62, 24
23.27, 93
23.90, 22
33.15, 100
36.34, 22
37.20, 26
40.51, 19
41.66, 46
47.58, 32

```
20
Lattice="7.4462 0.0000 0.0000 0.0000 7.8617 0.0000 -7.4461 0.0000 10.8074" Properties=species:S:1:pos:R:3 pbc="T T T"
Ba -0.1627 0.5748 2.7082
Ba -3.8857 3.3561 8.1119
Ba 3.8858 4.5057 2.6956
Ba 0.1628 7.2869 8.0993
Tb 3.7231 0.0000 0.0000
Tb 0.0000 3.9309 5.4037
Np -3.7231 0.0000 5.4037
Np 0.0000 3.9309 0.0000
Se -6.0258 1.6095 10.3074
Se -2.3028 2.3214 4.9037
Se -5.2227 5.4620 10.3171
Se -1.4996 6.3306 4.9134
Se -3.0699 0.1344 8.0534
Se 0.6531 3.7964 2.6497
Se -0.6530 4.0653 8.1578
Se 3.0700 7.7273 2.7541
Se 1.4997 1.5311 5.8941
Se 5.2228 2.3997 0.4903
Se 2.3029 5.5404 5.9038
Se 6.0259 6.2522 0.5001
```

Copy entry 3 word for word.
Diffraction record for CuTcRh2. The powder X-ray diffraction pattern is calculated, not measured: it uses DFT lattice parameters and positions (PBE) and Cu Kα X-rays.

Most intense lines, 2θ from 15° to 90°, sorted by position:
2theta, I (rel.)
40.90, 100
41.27, 97
47.38, 32
47.49, 32
48.54, 30
70.21, 38
83.44, 12
83.60, 12
84.16, 12
84.32, 12

```
4
Lattice="2.7280 0.0000 0.0000 0.0000 3.7509 0.0000 -0.0115 0.0000 5.3866" Properties=species:S:1:pos:R:3 pbc="T T T"
Cu 0.0000 0.0000 0.0000
Tc -0.0057 0.0000 2.6933
Rh 1.3617 1.8755 1.3425
Rh 1.3549 1.8755 4.0441
```